(1)
HoPaCoN4: calculated powder XRD pattern (Cu Kα (weighted mean of Kα1 and Kα2)), based on a structure optimized by DFT (PBE).
Peak positions follow from Bragg's law for the DFT cell and can differ from measured ones.

Structural model:
a = 5.619 Å, b = 4.937 Å, c = 6.734 Å
α = 90.00°, β = 108.46°, γ = 90.00°
Space group P2_1/m (No. 11)
Symmetry-distinct sites (fractional):
Ho (0.207, 0.250, 0.439) [2 per cell]
Pa (0.255, 0.250, 0.946) [2 per cell]
Co (0.278, 0.750, 0.215) [2 per cell]
N (0.057, 0.750, 0.364) [2 per cell]
N (0.092, 0.750, 0.936) [2 per cell]
N (0.482, 0.003, 0.752) [4 per cell]

Largest 10 diffraction maxima, by intensity, 15 to 90 degrees two-theta:
2θ (°), Rel. int.
24.6, 100.0
36.4, 60.3
33.2, 58.3
33.6, 34.9
33.4, 32.2
41.5, 31.3
50.4, 29.1
27.9, 18.1
40.9, 17.8
53.8, 17.7



(2)
NdHo3Co: calculated powder XRD pattern (Cu Kα (weighted mean of Kα1 and Kα2)), based on a structure optimized by DFT (PBE).
Peak positions follow from Bragg's law for the DFT cell and can differ from measured ones.

Structural model:
a = 13.188 Å, b = 3.725 Å, c = 11.154 Å
α = 90.00°, β = 90.83°, γ = 90.00°
Space group C2/m (No. 12)
Symmetry-distinct sites (fractional):
Nd (0.168, 0.000, 0.091) [4 per cell]
Ho (0.062, 0.000, 0.373) [4 per cell]
Ho (0.063, 0.500, 0.843) [4 per cell]
Ho (0.214, 0.000, 0.636) [4 per cell]
Co (0.084, 0.500, 0.560) [4 per cell]

Largest 10 diffraction maxima, by intensity, 15 to 90 degrees two-theta:
2θ (°), Rel. int.
32.6, 100.0
31.3, 80.8
34.7, 72.4
32.1, 61.0
31.7, 47.2
29.6, 44.9
48.9, 33.6
59.2, 30.0
42.0, 29.6
31.5, 27.1



(3)
NdHoCo: calculated powder XRD pattern (Cu Kα (weighted mean of Kα1 and Kα2)), based on a structure optimized by DFT (PBE).
Peak positions follow from Bragg's law for the DFT cell and can differ from measured ones.

Structural model:
a = 6.675 Å, b = 6.749 Å, c = 8.073 Å
α = 90.00°, β = 122.74°, γ = 90.00°
Space group P2_1/c (No. 14)
Symmetry-distinct sites (fractional):
Nd (0.196, 0.158, 0.419) [4 per cell]
Ho (0.306, 0.659, 0.595) [4 per cell]
Co (0.287, 0.521, 0.281) [4 per cell]

Largest 10 diffraction maxima, by intensity, 15 to 90 degrees two-theta:
2θ (°), Rel. int.
30.0, 100.0
29.5, 73.0
31.9, 49.5
36.4, 38.5
28.2, 36.7
48.1, 30.5
34.6, 26.3
47.1, 25.7
37.0, 25.1
39.1, 20.2



(4)
Ho6Co2Ni: calculated powder XRD pattern (Cu Kα (weighted mean of Kα1 and Kα2)), based on a structure optimized by DFT (PBE).
Peak positions follow from Bragg's law for the DFT cell and can differ from measured ones.

Structural model:
a = 6.381 Å, b = 7.084 Å, c = 11.273 Å
α = 90.00°, β = 122.19°, γ = 90.00°
Space group P2_1/c (No. 14)
Symmetry-distinct sites (fractional):
Ho (0.088, 0.053, 0.244) [4 per cell]
Ho (0.239, 0.674, 0.080) [4 per cell]
Ho (0.390, 0.170, 0.067) [4 per cell]
Co (0.313, 0.117, 0.771) [4 per cell]
Ni (0.500, 0.000, 0.500) [2 per cell]

Largest 10 diffraction maxima, by intensity, 15 to 90 degrees two-theta:
2θ (°), Rel. int.
30.9, 100.0
31.9, 94.6
30.8, 83.7
32.5, 68.9
34.2, 62.7
30.5, 51.9
34.4, 50.0
31.5, 45.2
26.9, 43.9
40.7, 38.9



(5)
Ho6Co2Ni: calculated powder XRD pattern (Cu Kα (weighted mean of Kα1 and Kα2)), based on a structure optimized by DFT (PBE).
Peak positions follow from Bragg's law for the DFT cell and can differ from measured ones.

Structural model:
a = 9.230 Å, b = 9.319 Å, c = 9.550 Å
α = 90.00°, β = 90.00°, γ = 90.00°
Space group Immm (No. 71)
Symmetry-distinct sites (fractional):
Ho (0.000, 0.185, 0.174) [8 per cell]
Ho (0.177, 0.232, 0.500) [8 per cell]
Ho (0.185, 0.500, 0.250) [8 per cell]
Co (0.000, 0.000, 0.385) [4 per cell]
Co (0.172, 0.000, 0.000) [4 per cell]
Ni (0.000, 0.500, 0.000) [2 per cell]
Ni (0.000, 0.500, 0.500) [2 per cell]

Largest 10 diffraction maxima, by intensity, 15 to 90 degrees two-theta:
2θ (°), Rel. int.
33.1, 100.0
36.1, 87.5
36.2, 63.3
35.5, 47.3
61.3, 45.4
30.6, 44.2
30.4, 38.8
26.7, 36.8
29.7, 32.6
38.6, 29.9



(6)
Ho4Co2Ni: calculated powder XRD pattern (Cu Kα (weighted mean of Kα1 and Kα2)), based on a structure optimized by DFT (PBE).
Peak positions follow from Bragg's law for the DFT cell and can differ from measured ones.

Structural model:
a = 7.737 Å, b = 8.888 Å, c = 9.267 Å
α = 90.00°, β = 90.00°, γ = 90.00°
Space group Imm2 (No. 44)
Symmetry-distinct sites (fractional):
Ho (0.000, 0.200, 0.000) [4 per cell]
Ho (0.000, 0.299, 0.556) [4 per cell]
Ho (0.222, 0.000, 0.312) [4 per cell]
Ho (0.222, 0.500, 0.241) [4 per cell]
Co (0.000, 0.250, 0.278) [4 per cell]
Co (0.249, 0.500, 0.527) [4 per cell]
Ni (0.000, 0.000, 0.540) [2 per cell]
Ni (0.000, 0.500, 0.013) [2 per cell]

Largest 10 diffraction maxima, by intensity, 15 to 90 degrees two-theta:
2θ (°), Rel. int.
30.6, 100.0
30.1, 59.0
48.7, 33.6
27.8, 32.8
50.3, 24.4
38.9, 22.3
31.7, 20.9
39.5, 20.9
40.6, 18.8
47.0, 18.6



(7)
Ho12Co6Ni: calculated powder XRD pattern (Cu Kα (weighted mean of Kα1 and Kα2)), based on a structure optimized by DFT (PBE).
Peak positions follow from Bragg's law for the DFT cell and can differ from measured ones.

Structural model:
a = 9.497 Å, b = 9.497 Å, c = 9.497 Å
α = 90.00°, β = 90.00°, γ = 90.00°
Space group Im-3 (No. 204)
Symmetry-distinct sites (fractional):
Ho (0.000, 0.193, 0.299) [24 per cell]
Co (0.000, 0.385, 0.500) [12 per cell]
Ni (0.000, 0.000, 0.000) [2 per cell]

Largest 10 diffraction maxima, by intensity, 15 to 90 degrees two-theta:
2θ (°), Rel. int.
35.4, 100.0
32.7, 55.8
29.7, 43.4
56.5, 39.5
60.1, 37.8
37.9, 21.6
70.1, 20.4
48.9, 20.2
88.6, 18.9
87.1, 15.0



(8)
Ho3CoNi: calculated powder XRD pattern (Cu Kα (weighted mean of Kα1 and Kα2)), based on a structure optimized by DFT (PBE).
Peak positions follow from Bragg's law for the DFT cell and can differ from measured ones.

Structural model:
a = 3.861 Å, b = 9.190 Å, c = 6.152 Å
α = 90.00°, β = 90.00°, γ = 90.00°
Space group Pmmn (No. 59, origin choice 2)
Symmetry-distinct sites (fractional):
Ho (0.250, 0.059, 0.242) [4 per cell]
Ho (0.250, 0.250, 0.751) [2 per cell]
Co (0.250, 0.750, 0.945) [2 per cell]
Ni (0.250, 0.750, 0.559) [2 per cell]

Largest 10 diffraction maxima, by intensity, 15 to 90 degrees two-theta:
2θ (°), Rel. int.
33.6, 100.0
38.7, 47.9
32.7, 44.8
29.0, 27.8
63.7, 25.3
53.8, 20.6
47.1, 18.3
58.5, 17.3
74.2, 16.7
37.5, 12.3



Copy entry 4 word for word.
Ho6Co2Ni: calculated powder XRD pattern (Cu Kα (weighted mean of Kα1 and Kα2)), based on a structure optimized by DFT (PBE).
Peak positions follow from Bragg's law for the DFT cell and can differ from measured ones.

Structural model:
a = 6.381 Å, b = 7.084 Å, c = 11.273 Å
α = 90.00°, β = 122.19°, γ = 90.00°
Space group P2_1/c (No. 14)
Symmetry-distinct sites (fractional):
Ho (0.088, 0.053, 0.244) [4 per cell]
Ho (0.239, 0.674, 0.080) [4 per cell]
Ho (0.390, 0.170, 0.067) [4 per cell]
Co (0.313, 0.117, 0.771) [4 per cell]
Ni (0.500, 0.000, 0.500) [2 per cell]

Largest 10 diffraction maxima, by intensity, 15 to 90 degrees two-theta:
2θ (°), Rel. int.
30.9, 100.0
31.9, 94.6
30.8, 83.7
32.5, 68.9
34.2, 62.7
30.5, 51.9
34.4, 50.0
31.5, 45.2
26.9, 43.9
40.7, 38.9



Please write out number 8 again, unchanged.
Ho3CoNi: calculated powder XRD pattern (Cu Kα (weighted mean of Kα1 and Kα2)), based on a structure optimized by DFT (PBE).
Peak positions follow from Bragg's law for the DFT cell and can differ from measured ones.

Structural model:
a = 3.861 Å, b = 9.190 Å, c = 6.152 Å
α = 90.00°, β = 90.00°, γ = 90.00°
Space group Pmmn (No. 59, origin choice 2)
Symmetry-distinct sites (fractional):
Ho (0.250, 0.059, 0.242) [4 per cell]
Ho (0.250, 0.250, 0.751) [2 per cell]
Co (0.250, 0.750, 0.945) [2 per cell]
Ni (0.250, 0.750, 0.559) [2 per cell]

Largest 10 diffraction maxima, by intensity, 15 to 90 degrees two-theta:
2θ (°), Rel. int.
33.6, 100.0
38.7, 47.9
32.7, 44.8
29.0, 27.8
63.7, 25.3
53.8, 20.6
47.1, 18.3
58.5, 17.3
74.2, 16.7
37.5, 12.3